Starting from a structure optimized by DFT (GGA-PBE), the X-ray diffraction stick pattern of TmBe4B4 was simulated for Cu Kα X-rays.
Intensities are scaled so that the largest is 100.

Atomic structure:
a b c (Å): 4.8480 4.8480 6.7457
angles (deg): 90.00 90.00 90.00
Atoms (fractional coordinates):
Tm1 0.2500 0.7500 0.2500
Tm2 0.7500 0.2500 0.7500
Be1 0.0204 0.7500 0.6216
Be2 0.2500 0.5204 0.8784
Be3 0.2500 0.9796 0.8784
Be4 0.4796 0.7500 0.6216
Be5 0.5204 0.2500 0.3784
Be6 0.7500 0.0204 0.1216
Be7 0.7500 0.4796 0.1216
Be8 0.9796 0.2500 0.3784
B1 0.0823 0.2500 0.0781
B2 0.2500 0.0823 0.5781
B3 0.2500 0.4177 0.5781
B4 0.4177 0.2500 0.0781
B5 0.5823 0.7500 0.9219
B6 0.7500 0.5823 0.4219
B7 0.7500 0.9177 0.4219
B8 0.9177 0.7500 0.9219

Peak list (10 most intense, 10° ≤ 2θ ≤ 80°, sorted by position)
d (Å), I_rel
3.937, 100
3.428, 36
3.373, 16
2.424, 19
2.404, 37
2.064, 50
2.040, 25
1.968, 18
1.561, 14
1.396, 12

Starting from a structure optimized by DFT (GGA-PBE), the X-ray diffraction stick pattern of Sm3Y2TmSe6 was simulated for Cu Kα X-rays.
Intensities are scaled so that the largest is 100.

Atomic structure:
a b c (Å): 9.2275 9.2275 8.3004
angles (deg): 103.79 103.79 25.62
Atoms (fractional coordinates):
Sm1 0.0000 0.0000 0.0000
Sm2 0.3315 0.3315 0.6665
Sm3 0.6685 0.6685 0.3335
Y1 0.3324 0.3324 0.1652
Y2 0.6676 0.6676 0.8348
Tm1 0.0000 0.0000 0.5000
Se1 0.1623 0.1623 0.5866
Se2 0.1680 0.1680 0.0786
Se3 0.4988 0.4988 0.2598
Se4 0.5012 0.5012 0.7402
Se5 0.8320 0.8320 0.9214
Se6 0.8377 0.8377 0.4134

Peak list (10 most intense, 10° ≤ 2θ ≤ 80°, sorted by position)
d (Å), I_rel
3.350, 9
2.912, 100
2.075, 13
2.069, 25
2.047, 36
1.701, 7
1.673, 13
1.457, 8
1.307, 11
1.296, 11

Starting from a structure optimized by DFT (GGA-PBE), the X-ray diffraction stick pattern of ReIF3 was simulated for Cu Kα X-rays.
Intensities are scaled so that the largest is 100.

Atomic structure:
a b c (Å): 6.7153 6.7153 6.7153
angles (deg): 123.61 108.34 97.57
Atoms (fractional coordinates):
Re1 0.0000 0.1924 0.1924
Re2 0.0000 0.8076 0.8076
I1 0.2171 0.7171 0.5000
I2 0.7829 0.2829 0.5000
F1 0.1898 0.1898 0.0000
F2 0.2465 0.2139 0.4604
F3 0.2465 0.7861 0.0326
F4 0.7535 0.2139 0.9674
F5 0.7535 0.7861 0.5396
F6 0.8102 0.8102 0.0000

Peak list (10 most intense, 10° ≤ 2θ ≤ 80°, sorted by position)
d (Å), I_rel
5.877, 100
3.931, 34
3.295, 29
2.578, 25
2.513, 12
2.212, 13
2.156, 18
2.083, 16
2.043, 10
1.563, 11

Starting from a structure optimized by DFT (GGA-PBE), the X-ray diffraction stick pattern of RbLiFe2Br6 was simulated for Cu Kα X-rays.
Intensities are scaled so that the largest is 100.

Atomic structure:
a b c (Å): 9.4281 9.4281 7.5593
angles (deg): 102.80 102.80 84.27
Atoms (fractional coordinates):
Rb1 0.1926 0.8074 0.7500
Rb2 0.8074 0.1926 0.2500
Li1 0.4085 0.5915 0.2500
Li2 0.5915 0.4085 0.7500
Fe1 0.1212 0.3073 0.7809
Fe2 0.3073 0.1212 0.2809
Fe3 0.6927 0.8788 0.7191
Fe4 0.8788 0.6927 0.2191
Br1 0.1099 0.1671 0.0184
Br2 0.1195 0.5867 0.3110
Br3 0.1671 0.1099 0.5184
Br4 0.3171 0.4722 0.8767
Br5 0.4133 0.8805 0.1890
Br6 0.4722 0.3171 0.3767
Br7 0.5278 0.6829 0.6233
Br8 0.5867 0.1195 0.8110
Br9 0.6829 0.5278 0.1233
Br10 0.8329 0.8901 0.4816
Br11 0.8805 0.4133 0.6890
Br12 0.8901 0.8329 0.9816

Peak list (10 most intense, 10° ≤ 2θ ≤ 80°, sorted by position)
d (Å), I_rel
4.293, 33
4.175, 61
3.663, 58
3.385, 88
3.251, 57
3.133, 59
3.055, 100
2.896, 60
2.150, 36
2.013, 46

Starting from a structure optimized by DFT (GGA-PBE), the X-ray diffraction stick pattern of Os2RuRh6 was simulated for Cu Kα X-rays.
Intensities are scaled so that the largest is 100.

Atomic structure:
a b c (Å): 8.1587 6.0869 6.0720
angles (deg): 84.29 47.93 47.78
Atoms (fractional coordinates):
Os1 0.1683 0.8317 0.1683
Os2 0.8317 0.1683 0.8317
Ru1 0.5000 0.5000 0.5000
Rh1 0.1624 0.1624 0.8376
Rh2 0.1713 0.5046 0.4954
Rh3 0.4954 0.8287 0.1713
Rh4 0.5046 0.1713 0.8287
Rh5 0.8287 0.4954 0.5046
Rh6 0.8376 0.8376 0.1624

Peak list (10 most intense, 10° ≤ 2θ ≤ 80°, sorted by position)
d (Å), I_rel
5.774, 9
3.471, 2
2.643, 4
2.218, 100
1.926, 16
1.919, 32
1.821, 2
1.759, 3
1.359, 20
1.357, 10